Record 1
# Li2Cr3O6
Theoretical powder XRD pattern, Cu Ka. Input: a crystal structure in the Materials Project, relaxed with PBE+U.
Lines closer than 0.1° are merged.

```
data_Li2Cr3O6
_chemical_formula_sum 'Li16 Cr24 O48'
_cell_length_a 5.6447
_cell_length_b 9.1239
_cell_length_c 16.6963
_cell_angle_alpha 90.00
_cell_angle_beta 90.00
_cell_angle_gamma 90.00
_space_group_name_H-M_alt 'F d d d'
_space_group_IT_number 70
loop_
_space_group_symop_operation_xyz
'x,y,z'
'-x,-y,-z'
'-x+1/4,-y+1/4,z'
'x+1/4,y+1/4,-z'
'x,-y+1/4,-z+1/4'
'-x,y+1/4,z+1/4'
'-x+1/4,y,-z+1/4'
'x+1/4,-y,z+1/4'
'x,y+1/2,z+1/2'
'-x,-y+1/2,-z+1/2'
'-x+1/4,-y+3/4,z+1/2'
'x+1/4,y+3/4,-z+1/2'
'x,-y+3/4,-z+3/4'
'-x,y+3/4,z+3/4'
'-x+1/4,y+1/2,-z+3/4'
'x+1/4,-y+1/2,z+3/4'
'x+1/2,y,z+1/2'
'-x+1/2,-y,-z+1/2'
'-x+3/4,-y+1/4,z+1/2'
'x+3/4,y+1/4,-z+1/2'
'x+1/2,-y+1/4,-z+3/4'
'-x+1/2,y+1/4,z+3/4'
'-x+3/4,y,-z+3/4'
'x+3/4,-y,z+3/4'
'x+1/2,y+1/2,z'
'-x+1/2,-y+1/2,-z'
'-x+3/4,-y+3/4,z'
'x+3/4,y+3/4,-z'
'x+1/2,-y+3/4,-z+1/4'
'-x+1/2,y+3/4,z+1/4'
'-x+3/4,y+1/2,-z+1/4'
'x+3/4,-y+1/2,z+1/4'
loop_
_atom_site_label
_atom_site_fract_x
_atom_site_fract_y
_atom_site_fract_z
_atom_site_occupancy
Li1 0.1250 0.1250 0.2947 1
Cr1 0.1250 0.1250 0.1250 1
Cr2 0.1250 0.1250 0.4602 1
O1 0.1120 0.3464 0.4589 1
O2 0.1250 0.3430 0.1250 1
```

The 10 most intense peaks (2θ from 10° to 90°), sorted by position:
d_spacing  I_rel
3.635  100
2.413  11
2.400  7
2.376  7
2.281  27
1.982  40
1.749  10
1.730  10
1.658  15
1.496  23

---

Record 2
# MgV12B4O20
Theoretical powder XRD pattern, Cu Ka. Input: a crystal structure in the Materials Project, relaxed with PBE+U.
Lines closer than 0.1° are merged.

```
data_MgV12B4O20
_chemical_formula_sum 'Mg1 V12 B4 O20'
_cell_length_a 9.7537
_cell_length_b 3.1735
_cell_length_c 12.9779
_cell_angle_alpha 90.00
_cell_angle_beta 91.05
_cell_angle_gamma 90.00
_space_group_name_H-M_alt 'P 1 m 1'
_space_group_IT_number 6
loop_
_space_group_symop_operation_xyz
'x,y,z'
'x,-y,z'
loop_
_atom_site_label
_atom_site_fract_x
_atom_site_fract_y
_atom_site_fract_z
_atom_site_occupancy
Mg1 0.0000 0.0000 0.0000 1
V1 0.0097 0.5000 0.3848 1
V2 0.0181 0.5000 0.8382 1
V3 0.2581 0.5000 0.2705 1
V4 0.2728 0.0000 0.0420 1
V5 0.2727 0.0000 0.4872 1
V6 0.2736 0.0000 0.7613 1
V7 0.5110 0.5000 0.1648 1
V8 0.5108 0.5000 0.6501 1
V9 0.7223 0.0000 0.9948 1
V10 0.7488 0.5000 0.7712 1
V11 0.7542 0.0000 0.2789 1
V12 0.7735 0.0000 0.5493 1
B1 0.0494 0.5000 0.6203 1
B2 0.4799 0.5000 0.9053 1
B3 0.5386 0.5000 0.4118 1
B4 0.9695 0.5000 0.1452 1
O1 0.1103 0.5000 0.1219 1
O2 0.1170 0.5000 0.5277 1
O3 0.1334 0.5000 0.7097 1
O4 0.1462 0.0000 0.9003 1
O5 0.1540 0.0000 0.3464 1
O6 0.3585 0.0000 0.1898 1
O7 0.3869 0.0000 0.6268 1
O8 0.3948 0.5000 0.4114 1
O9 0.4091 0.5000 0.9985 1
O10 0.4157 0.5000 0.8100 1
O11 0.6071 0.5000 0.3184 1
O12 0.6140 0.5000 0.5049 1
O13 0.6237 0.5000 0.9101 1
O14 0.6395 0.0000 0.1366 1
O15 0.6572 0.0000 0.6892 1
O16 0.8670 0.0000 0.8592 1
O17 0.8812 0.0000 0.4126 1
O18 0.8877 0.5000 0.0511 1
O19 0.9067 0.5000 0.6297 1
O20 0.9097 0.5000 0.2371 1
```

The 10 most intense peaks (2θ from 10° to 90°), sorted by position:
d_spacing  I_rel
5.448  27
5.357  29
2.851  26
2.724  60
2.678  52
2.660  100
2.152  25
2.000  40
1.587  37
1.583  31

---

Record 3
# KLiSm2Mo4O16
Theoretical powder XRD pattern, Cu Ka. Input: a crystal structure in the Materials Project, relaxed with PBE+U.
Lines closer than 0.1° are merged.

```
data_KLiSm2Mo4O16
_chemical_formula_sum 'K4 Li4 Sm8 Mo16 O64'
_cell_length_a 5.3508
_cell_length_b 12.9587
_cell_length_c 19.7532
_cell_angle_alpha 90.00
_cell_angle_beta 92.94
_cell_angle_gamma 90.00
_space_group_name_H-M_alt 'C 1 2/c 1'
_space_group_IT_number 15
loop_
_space_group_symop_operation_xyz
'x,y,z'
'-x,-y,-z'
'-x,y,-z+1/2'
'x,-y,z+1/2'
'x+1/2,y+1/2,z'
'-x+1/2,-y+1/2,-z'
'-x+1/2,y+1/2,-z+1/2'
'x+1/2,-y+1/2,z+1/2'
loop_
_atom_site_label
_atom_site_fract_x
_atom_site_fract_y
_atom_site_fract_z
_atom_site_occupancy
K1 0.0000 0.0312 0.2500 1
Li1 0.0000 0.3136 0.2500 1
Sm1 0.0006 0.1466 0.4669 1
Mo1 0.0098 0.2571 0.6490 1
Mo2 0.0182 0.4376 0.0922 1
O1 0.1060 0.4080 0.3293 1
O2 0.1276 0.1400 0.8262 1
O3 0.1587 0.3310 0.0434 1
O4 0.1715 0.2404 0.5677 1
O5 0.2320 0.2957 0.7137 1
O6 0.2316 0.4566 0.6021 1
O7 0.2442 0.3485 0.8662 1
O8 0.2456 0.0196 0.5381 1
```

The 10 most intense peaks (2θ from 10° to 90°), sorted by position:
d_spacing  I_rel
3.576  37
3.410  39
3.363  48
3.329  34
3.294  46
3.212  36
3.154  100
3.014  53
2.673  41
1.816  31

---

Record 4
# Li2V3SnO8
Theoretical powder XRD pattern, Cu Ka. Input: a crystal structure in the Materials Project, relaxed with PBE+U.
Lines closer than 0.1° are merged.

```
data_Li2V3SnO8
_chemical_formula_sum 'Li8 V12 Sn4 O32'
_cell_length_a 5.9634
_cell_length_b 10.4456
_cell_length_c 9.8315
_cell_angle_alpha 90.00
_cell_angle_beta 90.13
_cell_angle_gamma 90.00
_space_group_name_H-M_alt 'C 1 c 1'
_space_group_IT_number 9
loop_
_space_group_symop_operation_xyz
'x,y,z'
'x,-y,z+1/2'
'x+1/2,y+1/2,z'
'x+1/2,-y+1/2,z+1/2'
loop_
_atom_site_label
_atom_site_fract_x
_atom_site_fract_y
_atom_site_fract_z
_atom_site_occupancy
Li1 0.0000 0.0021 0.0000 1
Li2 0.4918 0.1664 0.9025 1
V1 0.2390 0.4139 0.7211 1
V2 0.2557 0.0876 0.2264 1
V3 0.4979 0.3316 0.2185 1
Sn1 0.4984 0.1680 0.4996 1
O1 0.0005 0.1611 0.1037 1
O2 0.0068 0.0077 0.3137 1
O3 0.2208 0.2607 0.8444 1
O4 0.2396 0.0814 0.6101 1
O5 0.2573 0.4196 0.1079 1
O6 0.2680 0.2401 0.3450 1
O7 0.4802 0.1585 0.1116 1
O8 0.4860 0.0174 0.3500 1
```

The 10 most intense peaks (2θ from 10° to 90°), sorted by position:
d_spacing  I_rel
4.612  54
4.582  100
3.574  33
2.774  40
2.767  22
2.565  54
2.549  29
2.504  28
2.032  27
1.503  25

---

Record 5
# Ag2Te4MoO12
Theoretical powder XRD pattern, Cu Ka. Input: a crystal structure in the Materials Project, relaxed with PBE+U.
Lines closer than 0.1° are merged.

```
data_Ag2Te4MoO12
_chemical_formula_sum 'Ag8 Te16 Mo4 O48'
_cell_length_a 17.8532
_cell_length_b 5.9221
_cell_length_c 11.5871
_cell_angle_alpha 90.00
_cell_angle_beta 104.60
_cell_angle_gamma 90.00
_space_group_name_H-M_alt 'C 1 2/c 1'
_space_group_IT_number 15
loop_
_space_group_symop_operation_xyz
'x,y,z'
'-x,-y,-z'
'-x,y,-z+1/2'
'x,-y,z+1/2'
'x+1/2,y+1/2,z'
'-x+1/2,-y+1/2,-z'
'-x+1/2,y+1/2,-z+1/2'
'x+1/2,-y+1/2,z+1/2'
loop_
_atom_site_label
_atom_site_fract_x
_atom_site_fract_y
_atom_site_fract_z
_atom_site_occupancy
Ag1 0.2144 0.2197 0.2703 1
Te1 0.0923 0.2208 0.5956 1
Te2 0.1558 0.3297 0.9305 1
Mo1 0.0000 0.3420 0.2500 1
O1 0.0098 0.3721 0.6343 1
O2 0.0215 0.1549 0.1432 1
O3 0.1098 0.4011 0.3340 1
O4 0.1556 0.1573 0.7525 1
O5 0.1564 0.4867 0.5830 1
O6 0.2447 0.0684 0.0748 1
```

The 10 most intense peaks (2θ from 10° to 90°), sorted by position:
d_spacing  I_rel
4.126  36
3.656  23
3.234  97
3.068  62
3.055  100
2.961  35
2.667  25
2.341  20
2.131  29
1.738  21

---

Record 6
# Sr2FeO4
Theoretical powder XRD pattern, Cu Ka. Input: a crystal structure in the Materials Project, relaxed with PBE+U.
Lines closer than 0.1° are merged.

```
data_Sr2FeO4
_chemical_formula_sum 'Sr4 Fe2 O8'
_cell_length_a 3.9095
_cell_length_b 3.9095
_cell_length_c 12.5554
_cell_angle_alpha 90.00
_cell_angle_beta 90.00
_cell_angle_gamma 90.00
_space_group_name_H-M_alt 'I 4/m m m'
_space_group_IT_number 139
_space_group_name_Hall '-I 4 2'
loop_
_atom_site_label
_atom_site_fract_x
_atom_site_fract_y
_atom_site_fract_z
_atom_site_occupancy
Sr1 0.0000 0.0000 0.1428 1
Fe1 0.0000 0.0000 0.5000 1
O1 0.0000 0.0000 0.3420 1
O2 0.0000 0.5000 0.0000 1
```

The 10 most intense peaks (2θ from 10° to 90°), sorted by position:
d_spacing  I_rel
2.857  100
2.764  75
2.113  14
2.093  16
2.075  27
1.955  42
1.668  16
1.613  37
1.428  16
1.382  12

---

Record 7
# MgMn2Tl2O6
Theoretical powder XRD pattern, Cu Ka. Input: a crystal structure in the Materials Project, relaxed with PBE+U.
Lines closer than 0.1° are merged.

```
data_MgMn2Tl2O6
_chemical_formula_sum 'Mg1 Mn2 Tl2 O6'
_cell_length_a 5.5610
_cell_length_b 5.5801
_cell_length_c 6.1949
_cell_angle_alpha 63.37
_cell_angle_beta 89.86
_cell_angle_gamma 60.34
_space_group_name_H-M_alt 'P -1'
_space_group_IT_number 2
loop_
_space_group_symop_operation_xyz
'x,y,z'
'-x,-y,-z'
loop_
_atom_site_label
_atom_site_fract_x
_atom_site_fract_y
_atom_site_fract_z
_atom_site_occupancy
Mg1 0.0000 0.0000 0.0000 1
Mn1 0.1746 0.6496 0.5287 1
Tl1 0.3774 0.2494 0.1222 1
O1 0.0461 0.1556 0.2440 1
O2 0.2006 0.2039 0.7586 1
O3 0.4051 0.5620 0.2327 1
```

The 10 most intense peaks (2θ from 10° to 90°), sorted by position:
d_spacing  I_rel
5.313  51
4.632  60
3.088  53
3.067  100
2.800  61
2.790  60
2.780  59
2.658  30
2.059  45
1.921  31